This entry pairs a crystal structure of CeMoClO4 with its theoretical X-ray diffraction stick pattern. Radiation: Cu Kα. Structure: a cell relaxed with GGA+U.

Structural model:
Unit cell a=20.0194 b=6.0806 c=7.4587 alpha=90.00 beta=90.53 gamma=90.00
Positions (direct):
Ce 0.1105 0.2045 0.1202
Ce 0.1105 0.2955 0.6202
Ce 0.3894 0.7046 0.3745
Ce 0.3894 0.7954 0.8745
Ce 0.6106 0.2046 0.1255
Ce 0.6106 0.2954 0.6255
Ce 0.8895 0.7045 0.3798
Ce 0.8895 0.7955 0.8798
Mo 0.1751 0.7494 0.3703
Mo 0.1751 0.7506 0.8703
Mo 0.3247 0.2493 0.1231
Mo 0.3247 0.2507 0.6231
Mo 0.6753 0.7493 0.3769
Mo 0.6753 0.7507 0.8769
Mo 0.8249 0.2494 0.1297
Mo 0.8249 0.2506 0.6297
Cl 0.0004 0.2379 0.8721
Cl 0.0004 0.2621 0.3721
Cl 0.9996 0.7379 0.6279
Cl 0.9996 0.7621 0.1279
Cl 0.4994 0.7391 0.6259
Cl 0.4994 0.7609 0.1259
Cl 0.5006 0.2391 0.8741
Cl 0.5006 0.2609 0.3741
O 0.1341 0.0348 0.4177
O 0.1341 0.4652 0.9177
O 0.1349 0.0349 0.8205
O 0.1349 0.4651 0.3205
O 0.1550 0.6501 0.6198
O 0.1550 0.8499 0.1198
O 0.2374 0.2445 0.1215
O 0.2374 0.2555 0.6215
O 0.2624 0.7446 0.3718
O 0.2624 0.7554 0.8718
O 0.3449 0.1501 0.8736
O 0.3449 0.3499 0.3736
O 0.3650 0.5349 0.6730
O 0.3650 0.9651 0.1730
O 0.3657 0.5348 0.0757
O 0.3657 0.9652 0.5757
O 0.6343 0.0348 0.4243
O 0.6343 0.4652 0.9243
O 0.6350 0.0349 0.8270
O 0.6350 0.4651 0.3270
O 0.6551 0.6501 0.6264
O 0.6551 0.8499 0.1264
O 0.7376 0.2446 0.1282
O 0.7376 0.2554 0.6282
O 0.7626 0.7445 0.3785
O 0.7626 0.7555 0.8785
O 0.8450 0.1501 0.8802
O 0.8450 0.3499 0.3802
O 0.8651 0.5349 0.6795
O 0.8651 0.9651 0.1795
O 0.8659 0.5348 0.0823
O 0.8659 0.9652 0.5823

Largest 10 diffraction maxima, by angle, 10 to 90 degrees two-theta:
| two_theta | Rel. int. |
| --- | --- |
| 17.7 | 97 |
| 23.0 | 93 |
| 28.1 | 100 |
| 29.4 | 89 |
| 30.6 | 41 |
| 33.3 | 44 |
| 33.5 | 43 |
| 38.9 | 32 |
| 47.8 | 26 |
| 48.8 | 28 |